Entry 1:
For Na2Ag4Pt, a cell relaxed with PBE gives the computed XRD peak list in this record (Cu Kα X-rays).

Cell and atoms:
```
data_Na2Ag4Pt
_chemical_formula_sum 'Na4 Ag8 Pt2'
_cell_length_a 5.1555
_cell_length_b 5.1555
_cell_length_c 14.9341
_cell_angle_alpha 90.00
_cell_angle_beta 90.00
_cell_angle_gamma 90.00
_space_group_name_H-M_alt 'I 4/m m m'
_space_group_IT_number 139
_space_group_name_Hall '-I 4 2'
loop_
_atom_site_label
_atom_site_fract_x
_atom_site_fract_y
_atom_site_fract_z
Na1 0.0000 0.0000 0.1203
Ag1 0.0000 0.0000 0.3240
Ag2 0.0000 0.5000 0.0000
Pt1 0.0000 0.0000 0.5000
```

The 10 most intense peaks (2θ = 10–90°), in order of rising 2θ:
index	two_theta	intensity
0 0 2	11.9	65.5
1 0 1	18.2	81.9
1 1 0	24.4	18.1
2 0 0	34.8	100.0
0 0 6	36.1	21.9
2 0 2	36.9	17.5
2 1 1	39.5	23.4
2 2 0	50.0	48.7
2 0 6	51.0	31.8
2 2 6	63.2	16.3

=====

Entry 2:
For NaPuAgSe3, a cell relaxed with PBE gives the computed XRD peak list in this record (Cu Kα X-rays).

Cell and atoms:
```
data_NaPuAgSe3
_chemical_formula_sum 'Na2 Pu2 Ag2 Se6'
_cell_length_a 8.2182
_cell_length_b 4.1812
_cell_length_c 9.4058
_cell_angle_alpha 90.00
_cell_angle_beta 103.00
_cell_angle_gamma 90.00
_space_group_name_H-M_alt 'P 1 21/m 1'
_space_group_IT_number 11
loop_
_space_group_symop_operation_xyz
'x,y,z'
'-x,-y,-z'
'-x,y+1/2,-z'
'x,-y+1/2,z'
loop_
_atom_site_label
_atom_site_fract_x
_atom_site_fract_y
_atom_site_fract_z
Na1 0.1971 0.2500 0.2451
Pu1 0.3230 0.7500 0.8404
Ag1 0.0872 0.2500 0.5868
Se1 0.0983 0.2500 0.8694
Se2 0.2646 0.7500 0.5321
Se3 0.4366 0.7500 0.1519
```

The 10 most intense peaks (2θ = 10–90°), in order of rising 2θ:
index	two_theta	intensity
1 0 -1	12.9	100.0
1 1 0	24.0	15.7
0 0 3	29.2	24.8
2 1 0	30.9	71.9
1 1 -3	36.1	25.9
3 1 -1	39.4	19.9
0 2 0	43.3	17.8
1 2 -1	45.3	12.4
2 1 -4	46.4	20.3
2 1 3	46.6	13.9

=====

Entry 3:
For Na3Pu2AgTe6, a cell relaxed with PBE gives the computed XRD peak list in this record (Cu Kα X-rays).

Cell and atoms:
```
data_Na3Pu2AgTe6
_chemical_formula_sum 'Na6 Pu4 Ag2 Te12'
_cell_length_a 7.6269
_cell_length_b 13.1927
_cell_length_c 7.9096
_cell_angle_alpha 90.00
_cell_angle_beta 108.66
_cell_angle_gamma 90.00
_space_group_name_H-M_alt 'C 1 2/m 1'
_space_group_IT_number 12
loop_
_space_group_symop_operation_xyz
'x,y,z'
'-x,-y,-z'
'-x,y,-z'
'x,-y,z'
'x+1/2,y+1/2,z'
'-x+1/2,-y+1/2,-z'
'-x+1/2,y+1/2,-z'
'x+1/2,-y+1/2,z'
loop_
_atom_site_label
_atom_site_fract_x
_atom_site_fract_y
_atom_site_fract_z
Na1 0.0000 0.0000 0.0000
Na2 0.0000 0.3356 0.0000
Pu1 0.0000 0.1670 0.5000
Ag1 0.0000 0.5000 0.5000
Te1 0.2418 0.0000 0.7291
Te2 0.2438 0.3328 0.7298
```

The 10 most intense peaks (2θ = 10–90°), in order of rising 2θ:
index	two_theta	intensity
0 0 1	11.8	45.7
2 0 -1	23.7	17.9
1 3 1	28.3	100.0
1 3 2	36.6	13.9
2 0 2	39.9	38.1
0 6 0	41.0	37.4
3 3 0	42.8	12.4
2 6 -2	50.6	20.9
3 3 3	65.4	16.2
4 6 0	67.1	17.0

=====

Entry 4:
For RbNa2Ag9, a cell relaxed with PBE gives the computed XRD peak list in this record (Cu Kα X-rays).

Cell and atoms:
```
data_RbNa2Ag9
_chemical_formula_sum 'Rb2 Na4 Ag18'
_cell_length_a 9.6416
_cell_length_b 9.6416
_cell_length_c 5.7482
_cell_angle_alpha 90.00
_cell_angle_beta 90.00
_cell_angle_gamma 90.00
_space_group_name_H-M_alt 'P 4/m b m'
_space_group_IT_number 127
_space_group_name_Hall '-P 4 2ab'
loop_
_atom_site_label
_atom_site_fract_x
_atom_site_fract_y
_atom_site_fract_z
Rb1 0.0000 0.0000 0.0000
Na1 0.1188 0.3812 0.0000
Ag1 0.0000 0.5000 0.5000
Ag2 0.0638 0.2088 0.5000
Ag3 0.1785 0.6786 0.2446
```

The 10 most intense peaks (2θ = 10–90°), in order of rising 2θ:
index	two_theta	intensity
0 0 1	15.4	85.9
2 1 0	20.6	30.6
2 2 1	30.5	25.1
3 1 1	33.3	77.8
2 0 2	36.4	48.0
3 2 1	37.1	31.4
2 1 2	37.6	95.0
4 1 0	38.5	100.0
3 3 0	39.7	32.8
3 1 2	43.3	29.9

=====

Entry 5:
For RbNaAg, a cell relaxed with PBE gives the computed XRD peak list in this record (Cu Kα X-rays).

Cell and atoms:
```
data_RbNaAg
_chemical_formula_sum 'Rb1 Na1 Ag1'
_cell_length_a 5.3315
_cell_length_b 5.3315
_cell_length_c 4.9473
_cell_angle_alpha 90.00
_cell_angle_beta 90.00
_cell_angle_gamma 120.00
_space_group_name_H-M_alt 'P -6 m 2'
_space_group_IT_number 187
_space_group_name_Hall 'P -6 2'
loop_
_atom_site_label
_atom_site_fract_x
_atom_site_fract_y
_atom_site_fract_z
Rb1 0.0000 0.0000 0.0000
Na1 0.6667 0.3333 0.5000
Ag1 0.3333 0.6667 0.5000
```

The 10 most intense peaks (2θ = 10–90°), in order of rising 2θ:
index	two_theta	intensity
1 0 0	19.2	21.9
1 0 1	26.4	100.0
1 1 0	33.6	44.3
0 0 2	36.3	11.9
2 0 1	43.2	25.7
1 1 2	50.3	27.1
2 1 1	55.9	23.4
1 0 3	59.5	9.6
3 0 2	72.3	8.8
3 1 1	76.9	9.0

=====

Entry 6:
For NaAgRu, a cell relaxed with PBE gives the computed XRD peak list in this record (Cu Kα X-rays).

Cell and atoms:
```
data_NaAgRu
_chemical_formula_sum 'Na2 Ag2 Ru2'
_cell_length_a 2.8267
_cell_length_b 5.2798
_cell_length_c 7.2147
_cell_angle_alpha 82.14
_cell_angle_beta 89.89
_cell_angle_gamma 89.95
_space_group_name_H-M_alt 'P 1'
_space_group_IT_number 1
loop_
_space_group_symop_operation_xyz
'x,y,z'
loop_
_atom_site_label
_atom_site_fract_x
_atom_site_fract_y
_atom_site_fract_z
Na1 0.0000 0.0000 0.0000
Na2 0.0041 0.2107 0.3318
Ag1 0.4999 0.5294 0.9877
Ag2 0.5014 0.2376 0.6702
Ru1 0.0014 0.7341 0.6373
Ru2 0.5028 0.6992 0.3616
```

The 10 most intense peaks (2θ = 10–90°), in order of rising 2θ:
index	two_theta	intensity
0 0 1	12.4	61.2
0 1 0	17.0	55.3
0 1 -1	22.4	30.9
0 2 0	34.3	27.2
0 2 1	34.9	38.9
0 0 3	37.8	71.8
0 2 -1	38.2	43.1
1 1 -1	39.1	100.0
1 1 2	42.9	98.7
1 3 1	62.4	27.0

=====

Entry 7:
For NaAgS5, a cell relaxed with PBE gives the computed XRD peak list in this record (Cu Kα X-rays).

Cell and atoms:
```
data_NaAgS5
_chemical_formula_sum 'Na2 Ag2 S10'
_cell_length_a 4.6459
_cell_length_b 8.7359
_cell_length_c 9.1939
_cell_angle_alpha 74.56
_cell_angle_beta 89.99
_cell_angle_gamma 89.64
_space_group_name_H-M_alt 'P -1'
_space_group_IT_number 2
loop_
_space_group_symop_operation_xyz
'x,y,z'
'-x,-y,-z'
loop_
_atom_site_label
_atom_site_fract_x
_atom_site_fract_y
_atom_site_fract_z
Na1 0.1660 0.2510 0.2492
Ag1 0.5000 0.0000 0.0000
Ag2 0.5000 0.5000 0.5000
S1 0.0527 0.2496 0.7495
S2 0.2116 0.8796 0.3526
S3 0.2158 0.6215 0.1486
S4 0.3180 0.7331 0.5639
S5 0.3178 0.7675 0.9369
```

The 10 most intense peaks (2θ = 10–90°), in order of rising 2θ:
index	two_theta	intensity
0 1 1	12.4	89.1
-1 1 1	22.9	23.6
1 1 -1	25.2	37.1
1 -1 1	25.3	36.4
1 0 2	27.8	100.0
1 2 0	28.5	18.9
0 3 1	30.7	25.9
0 2 -2	33.0	27.2
0 1 -3	34.8	27.5
-2 2 2	46.8	19.8

=====

Entry 8:
For Na2AgTe2S6, a cell relaxed with PBE gives the computed XRD peak list in this record (Cu Kα X-rays).

Cell and atoms:
```
data_Na2AgTe2S6
_chemical_formula_sum 'Na4 Ag2 Te4 S12'
_cell_length_a 6.6203
_cell_length_b 11.8929
_cell_length_c 7.2417
_cell_angle_alpha 90.00
_cell_angle_beta 108.17
_cell_angle_gamma 90.00
_space_group_name_H-M_alt 'C 1 2/m 1'
_space_group_IT_number 12
loop_
_space_group_symop_operation_xyz
'x,y,z'
'-x,-y,-z'
'-x,y,-z'
'x,-y,z'
'x+1/2,y+1/2,z'
'-x+1/2,-y+1/2,-z'
'-x+1/2,y+1/2,-z'
'x+1/2,-y+1/2,z'
loop_
_atom_site_label
_atom_site_fract_x
_atom_site_fract_y
_atom_site_fract_z
Na1 0.0000 0.1581 0.0000
Ag1 0.0000 0.0000 0.5000
Te1 0.0000 0.3295 0.5000
S1 0.2405 0.0000 0.2932
S2 0.2459 0.1800 0.7235
```

The 10 most intense peaks (2θ = 10–90°), in order of rising 2θ:
index	two_theta	intensity
0 0 1	12.9	100.0
1 3 0	26.6	28.4
1 3 -1	27.6	12.0
1 3 1	31.6	67.8
2 0 -2	32.0	31.5
1 3 2	40.6	13.9
1 3 -3	44.0	23.0
2 0 2	44.7	12.0
0 6 0	45.8	10.9
3 3 -1	47.1	20.6

=====

Entry 9:
For Na3AgTe2S6, a cell relaxed with PBE gives the computed XRD peak list in this record (Cu Kα X-rays).

Cell and atoms:
```
data_Na3AgTe2S6
_chemical_formula_sum 'Na6 Ag2 Te4 S12'
_cell_length_a 5.9103
_cell_length_b 12.2654
_cell_length_c 8.3374
_cell_angle_alpha 90.00
_cell_angle_beta 92.63
_cell_angle_gamma 90.00
_space_group_name_H-M_alt 'P 1 21 1'
_space_group_IT_number 4
loop_
_space_group_symop_operation_xyz
'x,y,z'
'-x,y+1/2,-z'
loop_
_atom_site_label
_atom_site_fract_x
_atom_site_fract_y
_atom_site_fract_z
Na1 0.2358 0.0000 0.3752
Na2 0.2528 0.3173 0.8817
Na3 0.2617 0.6573 0.3925
Ag1 0.2814 0.9655 0.8801
Te1 0.2090 0.3335 0.4227
Te2 0.2112 0.6449 0.9399
S1 0.1924 0.1228 0.0802
S2 0.1941 0.8431 0.6332
S3 0.2378 0.1787 0.5928
S4 0.2496 0.8001 0.1098
S5 0.2664 0.4759 0.6173
S6 0.2871 0.4978 0.1242
```

The 10 most intense peaks (2θ = 10–90°), in order of rising 2θ:
index	two_theta	intensity
0 1 1	12.8	23.1
0 2 1	18.0	46.4
1 1 -1	19.4	49.7
1 1 1	20.2	27.8
0 0 2	21.3	19.8
1 3 0	26.5	25.5
2 0 0	30.3	59.2
0 3 2	30.6	100.0
2 3 -2	42.9	25.5
2 3 2	44.3	54.2

=====

Entry 10:
For NaUAgS3, a cell relaxed with PBE gives the computed XRD peak list in this record (Cu Kα X-rays).

Cell and atoms:
```
data_NaUAgS3
_chemical_formula_sum 'Na2 U2 Ag2 S6'
_cell_length_a 7.3171
_cell_length_b 4.0362
_cell_length_c 10.0913
_cell_angle_alpha 90.00
_cell_angle_beta 103.20
_cell_angle_gamma 90.00
_space_group_name_H-M_alt 'P 1 21/m 1'
_space_group_IT_number 11
loop_
_space_group_symop_operation_xyz
'x,y,z'
'-x,-y,-z'
'-x,y+1/2,-z'
'x,-y+1/2,z'
loop_
_atom_site_label
_atom_site_fract_x
_atom_site_fract_y
_atom_site_fract_z
Na1 0.1374 0.2500 0.1703
U1 0.3660 0.2500 0.8273
Ag1 0.1441 0.7500 0.5613
S1 0.0131 0.2500 0.6923
S2 0.2849 0.7500 0.9937
S3 0.4797 0.7500 0.6912
```

The 10 most intense peaks (2θ = 10–90°), in order of rising 2θ:
index	two_theta	intensity
1 0 -1	13.6	100.0
1 1 1	27.9	24.0
0 1 2	28.6	31.2
1 1 -2	29.6	38.3
2 1 0	33.6	19.6
2 0 2	34.3	15.2
1 1 -3	35.3	18.0
2 1 -3	39.7	15.8
3 1 -1	43.3	20.6
2 0 -5	47.5	27.5

=====

Entry 11:
For Na3U3AgS8, a cell relaxed with PBE gives the computed XRD peak list in this record (Cu Kα X-rays).

Cell and atoms:
```
data_Na3U3AgS8
_chemical_formula_sum 'Na9 U9 Ag3 S24'
_cell_length_a 7.8593
_cell_length_b 7.8593
_cell_length_c 20.1409
_cell_angle_alpha 90.00
_cell_angle_beta 90.00
_cell_angle_gamma 120.00
_space_group_name_H-M_alt 'R -3 m'
_space_group_IT_number 166
_space_group_name_Hall '-R 3 2"'
loop_
_atom_site_label
_atom_site_fract_x
_atom_site_fract_y
_atom_site_fract_z
Na1 0.0000 0.5000 0.0000
U1 0.0000 0.5000 0.5000
Ag1 0.0000 0.0000 0.5000
S1 0.0000 0.0000 0.2439
S2 0.0158 0.5079 0.7588
```

The 10 most intense peaks (2θ = 10–90°), in order of rising 2θ:
index	two_theta	intensity
0 0 3	13.2	100.0
0 2 1	26.6	64.1
2 0 2	27.7	33.2
0 2 4	31.7	84.7
2 0 5	34.5	22.8
0 2 7	41.1	21.8
2 0 8	44.8	31.2
2 2 0	46.2	29.3
2 2 3	48.3	24.3
4 0 4	57.1	24.6

=====

Entry 12:
For Na3AgSb, a cell relaxed with PBE gives the computed XRD peak list in this record (Cu Kα X-rays).

Cell and atoms:
```
data_Na3AgSb
_chemical_formula_sum 'Na12 Ag4 Sb4'
_cell_length_a 11.0473
_cell_length_b 7.6039
_cell_length_c 6.8458
_cell_angle_alpha 90.00
_cell_angle_beta 90.00
_cell_angle_gamma 90.00
_space_group_name_H-M_alt 'I m a 2'
_space_group_IT_number 46
loop_
_space_group_symop_operation_xyz
'x,y,z'
'-x,-y,z'
'-x+1/2,y,z'
'x+1/2,-y,z'
'x+1/2,y+1/2,z+1/2'
'-x+1/2,-y+1/2,z+1/2'
'-x,y+1/2,z+1/2'
'x,-y+1/2,z+1/2'
loop_
_atom_site_label
_atom_site_fract_x
_atom_site_fract_y
_atom_site_fract_z
Na1 0.0187 0.2489 0.0000
Na2 0.2500 0.0623 0.2524
Ag1 0.2500 0.7500 0.0027
Sb1 0.2500 0.0309 0.7523
```

The 10 most intense peaks (2θ = 10–90°), in order of rising 2θ:
index	two_theta	intensity
1 1 0	14.1	32.5
2 0 0	16.0	100.0
0 1 1	17.4	34.4
2 1 1	23.8	32.9
1 1 2	29.7	39.9
4 0 0	32.4	37.1
0 2 2	35.3	54.7
3 1 2	37.8	32.5
2 2 2	39.0	36.8
4 2 2	48.7	40.9

=====

Entry 13:
For Na2Ag5Sb3, a cell relaxed with PBE gives the computed XRD peak list in this record (Cu Kα X-rays).

Cell and atoms:
```
data_Na2Ag5Sb3
_chemical_formula_sum 'Na8 Ag20 Sb12'
_cell_length_a 11.8867
_cell_length_b 13.2825
_cell_length_c 6.1746
_cell_angle_alpha 90.00
_cell_angle_beta 106.88
_cell_angle_gamma 90.00
_space_group_name_H-M_alt 'C 1 2/c 1'
_space_group_IT_number 15
loop_
_space_group_symop_operation_xyz
'x,y,z'
'-x,-y,-z'
'-x,y,-z+1/2'
'x,-y,z+1/2'
'x+1/2,y+1/2,z'
'-x+1/2,-y+1/2,-z'
'-x+1/2,y+1/2,-z+1/2'
'x+1/2,-y+1/2,z+1/2'
loop_
_atom_site_label
_atom_site_fract_x
_atom_site_fract_y
_atom_site_fract_z
Na1 0.1111 0.2488 0.0634
Ag1 0.0000 0.4902 0.2500
Ag2 0.1452 0.1441 0.5744
Ag3 0.2462 0.4561 0.9946
Sb1 0.0000 0.0146 0.7500
Sb2 0.1459 0.3550 0.5875
```

The 10 most intense peaks (2θ = 10–90°), in order of rising 2θ:
index	two_theta	intensity
0 2 0	13.3	95.1
1 1 1	20.0	78.8
3 1 -1	24.9	59.9
2 2 -2	32.7	98.0
4 2 0	34.3	93.5
4 0 -2	37.0	67.4
2 0 2	38.2	93.6
1 5 1	38.9	100.0
2 4 -2	40.5	58.4
4 4 0	41.8	74.3